No. 1
AlPbAu2: theoretical powder diffractogram (Cu Ka), based on DFT lattice parameters and positions (PBE).

Structure:
a = 3.2888 Å, b = 3.1967 Å, c = 7.8145 Å
α = 90.00°, β = 90.45°, γ = 90.00°
Element x y z (fractional)
Al  0.0000  0.0000  0.0000
Pb  0.0000  0.0000  0.5000
Au  0.4974  0.5000  0.8087
Au  0.5026  0.5000  0.1913

Top 8 peaks for 2θ from 15° to 90°, in order of rising 2θ:
2θ 30.21, I 52; 2θ 34.43, I 51; 2θ 35.54, I 45; 2θ 35.83, I 46; 2θ 36.31, I 87; 2θ 39.31, I 100; 2θ 53.07, I 31; 2θ 53.39, I 30

=====

No. 2
CdAg2I2Cl2: theoretical powder diffractogram (Cu Ka), based on DFT lattice parameters and positions (PBE).

Structure:
a = 7.4856 Å, b = 7.4856 Å, c = 6.9835 Å
α = 108.91°, β = 108.91°, γ = 33.52°
Element x y z (fractional)
Cd  0.0000  0.0000  0.0000
Ag  0.2459  0.2459  0.7511
Ag  0.7541  0.7541  0.2489
I  0.3935  0.3935  0.1647
I  0.6065  0.6065  0.8353
Cl  0.1503  0.1503  0.3379
Cl  0.8497  0.8497  0.6621

Top 8 peaks for 2θ from 15° to 90°, in order of rising 2θ:
2θ 21.85, I 23; 2θ 28.70, I 100; 2θ 34.16, I 26; 2θ 34.70, I 20; 2θ 40.21, I 16; 2θ 41.85, I 18; 2θ 44.83, I 23; 2θ 45.57, I 20

=====

No. 3
Li5Ti8O16: theoretical powder diffractogram (Cu Ka), based on DFT lattice parameters and positions (PBE).

Structure:
a = 5.3359 Å, b = 7.6527 Å, c = 7.8824 Å
α = 93.34°, β = 105.86°, γ = 109.26°
Element x y z (fractional)
Li  0.0000  0.0000  0.0000
Li  0.0034  0.4966  0.4915
Li  0.0825  0.8469  0.5850
Li  0.5064  0.4985  0.9987
Li  0.5592  0.3310  0.5862
Ti  0.0086  0.1115  0.3505
Ti  0.0399  0.2207  0.7173
Ti  0.0439  0.6117  0.8739
Ti  0.0646  0.7262  0.2234
Ti  0.5154  0.6148  0.3495
Ti  0.5388  0.1110  0.8744
Ti  0.5537  0.2180  0.2235
Ti  0.5535  0.7261  0.7148
O  0.2539  0.9940  0.2339
O  0.2611  0.1182  0.6189
O  0.2660  0.4928  0.7398
O  0.2815  0.6115  0.1074
O  0.2992  0.7203  0.4736
O  0.3090  0.2198  0.9650
O  0.3115  0.8414  0.8328
O  0.3150  0.3448  0.3501
O  0.7626  0.4931  0.2409
O  0.7710  0.9918  0.7479
O  0.7749  0.6149  0.6133
O  0.7758  0.1087  0.1082
O  0.8043  0.2292  0.4751
O  0.8078  0.3421  0.8347
O  0.8113  0.7176  0.9638
O  0.8230  0.8425  0.3476

Top 8 peaks for 2θ from 15° to 90°, in order of rising 2θ:
2θ 23.77, I 73; 2θ 24.99, I 100; 2θ 36.97, I 22; 2θ 39.86, I 51; 2θ 44.05, I 44; 2θ 46.88, I 37; 2θ 51.31, I 22; 2θ 56.09, I 22

=====

No. 4
Li2MgP: theoretical powder diffractogram (Cu Ka), based on DFT lattice parameters and positions (PBE).

Structure:
a = 6.3253 Å, b = 6.3253 Å, c = 6.3253 Å
α = 90.00°, β = 90.00°, γ = 90.00°
Element x y z (fractional)
Li  0.0000  0.0000  0.0000
Li  0.0000  0.0000  0.5000
Li  0.0000  0.5000  0.0000
Li  0.2125  0.2125  0.2125
Li  0.2125  0.7875  0.7875
Li  0.5000  0.0000  0.0000
Li  0.7875  0.2125  0.7875
Li  0.7875  0.7875  0.2125
Mg  0.0000  0.5000  0.5000
Mg  0.5000  0.0000  0.5000
Mg  0.5000  0.5000  0.0000
Mg  0.5000  0.5000  0.5000
P  0.2336  0.2336  0.7664
P  0.2336  0.7664  0.2336
P  0.7664  0.2336  0.2336
P  0.7664  0.7664  0.7664

Top 8 peaks for 2θ from 15° to 90°, in order of rising 2θ:
2θ 24.37, I 53; 2θ 31.63, I 21; 2θ 40.33, I 100; 2θ 47.69, I 21; 2θ 58.35, I 15; 2θ 64.18, I 8; 2θ 73.32, I 28; 2θ 87.17, I 8

=====

No. 5
NdH3S2O9: theoretical powder diffractogram (Cu Ka), based on DFT lattice parameters and positions (PBE).

Structure:
a = 9.4757 Å, b = 7.3266 Å, c = 10.9051 Å
α = 90.00°, β = 92.69°, γ = 90.00°
Element x y z (fractional)
Nd  0.0513  0.1654  0.3480
Nd  0.0513  0.3346  0.8480
Nd  0.9487  0.6654  0.1520
Nd  0.9487  0.8346  0.6520
H  0.3985  0.6939  0.5176
H  0.3985  0.8061  0.0176
H  0.4291  0.6392  0.1167
H  0.4291  0.8608  0.6167
H  0.4360  0.2344  0.9282
H  0.4360  0.2656  0.4282
H  0.5640  0.7344  0.5718
H  0.5640  0.7656  0.0718
H  0.5709  0.1392  0.3833
H  0.5709  0.3608  0.8833
H  0.6015  0.1939  0.9824
H  0.6015  0.3061  0.4824
S  0.1575  0.6671  0.3926
S  0.1575  0.8329  0.8926
S  0.2532  0.1621  0.5922
S  0.2532  0.3379  0.0922
S  0.7468  0.6621  0.9078
S  0.7468  0.8379  0.4078
S  0.8425  0.1671  0.1074
S  0.8425  0.3329  0.6074
O  0.0944  0.5083  0.3202
O  0.0944  0.9917  0.8202
O  0.0954  0.6733  0.5139
O  0.0954  0.8267  0.0139
O  0.1117  0.6706  0.8137
O  0.1117  0.8294  0.3137
O  0.1280  0.0399  0.5586
O  0.1280  0.4601  0.0586
O  0.2124  0.1990  0.1823
O  0.2124  0.3010  0.6823
O  0.2786  0.2478  0.9702
O  0.2786  0.2522  0.4702
O  0.3115  0.6548  0.4026
O  0.3115  0.8452  0.9026
O  0.3767  0.0591  0.6376
O  0.3767  0.4409  0.1376
O  0.4605  0.7318  0.5944
O  0.4605  0.7682  0.0944
O  0.5395  0.2318  0.9056
O  0.5395  0.2682  0.4056
O  0.6233  0.5591  0.8624
O  0.6233  0.9409  0.3624
O  0.6885  0.1548  0.0974
O  0.6885  0.3452  0.5974
O  0.7214  0.7478  0.5298
O  0.7214  0.7522  0.0298
O  0.7876  0.6990  0.3177
O  0.7876  0.8010  0.8177
O  0.8720  0.5399  0.9414
O  0.8720  0.9601  0.4414
O  0.8883  0.1706  0.6863
O  0.8883  0.3294  0.1863
O  0.9046  0.1733  0.9861
O  0.9046  0.3267  0.4861
O  0.9056  0.0083  0.1798
O  0.9056  0.4917  0.6798

Top 8 peaks for 2θ from 15° to 90°, in order of rising 2θ:
2θ 18.41, I 19; 2θ 24.32, I 66; 2θ 25.66, I 20; 2θ 27.23, I 100; 2θ 28.31, I 64; 2θ 31.73, I 22; 2θ 46.06, I 25; 2θ 48.09, I 19

=====

No. 6
RbSr3Cu4I12: theoretical powder diffractogram (Cu Ka), based on DFT lattice parameters and positions (PBE).

Structure:
a = 10.2676 Å, b = 10.2676 Å, c = 10.2676 Å
α = 104.31°, β = 104.31°, γ = 104.31°
Element x y z (fractional)
Rb  0.0000  0.0000  0.0000
Sr  0.0000  0.5524  0.4476
Sr  0.4476  0.0000  0.5524
Sr  0.5524  0.4476  0.0000
Cu  0.0642  0.5000  0.9358
Cu  0.5000  0.5000  0.5000
Cu  0.5000  0.9358  0.0642
Cu  0.9358  0.0642  0.5000
I  0.0222  0.6519  0.7831
I  0.0960  0.9040  0.5000
I  0.2169  0.3481  0.9778
I  0.3447  0.6553  0.5000
I  0.3481  0.9778  0.2169
I  0.5000  0.0960  0.9040
I  0.5000  0.3447  0.6553
I  0.6519  0.7831  0.0222
I  0.6553  0.5000  0.3447
I  0.7831  0.0222  0.6519
I  0.9040  0.5000  0.0960
I  0.9778  0.2169  0.3481

Top 8 peaks for 2θ from 15° to 90°, in order of rising 2θ:
2θ 18.13, I 46; 2θ 18.89, I 69; 2θ 21.08, I 67; 2θ 21.88, I 37; 2θ 23.90, I 55; 2θ 26.88, I 100; 2θ 36.29, I 38; 2θ 36.61, I 39

=====

No. 7
BaMoCl4: theoretical powder diffractogram (Cu Ka), based on DFT lattice parameters and positions (PBE).

Structure:
a = 6.1323 Å, b = 6.1323 Å, c = 6.1323 Å
α = 60.00°, β = 60.00°, γ = 60.00°
Element x y z (fractional)
Ba  0.0000  0.0000  0.0000
Mo  0.2500  0.2500  0.2500
Cl  0.1260  0.6247  0.6247
Cl  0.6247  0.1260  0.6247
Cl  0.6247  0.6247  0.1260
Cl  0.6247  0.6247  0.6247

Top 8 peaks for 2θ from 15° to 90°, in order of rising 2θ:
2θ 17.71, I 24; 2θ 29.12, I 74; 2θ 34.29, I 100; 2θ 51.63, I 29; 2θ 55.02, I 32; 2θ 60.38, I 22; 2θ 83.40, I 15; 2θ 86.13, I 20

=====

No. 8
KLaGeSe4: theoretical powder diffractogram (Cu Ka), based on DFT lattice parameters and positions (PBE).

Structure:
a = 7.0098 Å, b = 7.1533 Å, c = 9.2098 Å
α = 90.00°, β = 107.61°, γ = 90.00°
Element x y z (fractional)
K  0.2461  0.0000  0.4377
K  0.7539  0.5000  0.5623
La  0.2686  0.0069  0.9460
La  0.7314  0.5069  0.0540
Ge  0.2794  0.4722  0.1792
Ge  0.7206  0.9722  0.8208
Se  0.0770  0.4135  0.9238
Se  0.0807  0.4679  0.3444
Se  0.4711  0.7325  0.7698
Se  0.4822  0.7468  0.2135
Se  0.5178  0.2468  0.7865
Se  0.5289  0.2325  0.2302
Se  0.9193  0.9679  0.6556
Se  0.9230  0.9135  0.0762

Top 8 peaks for 2θ from 15° to 90°, in order of rising 2θ:
2θ 15.98, I 49; 2θ 27.48, I 36; 2θ 28.28, I 100; 2θ 30.24, I 67; 2θ 30.95, I 55; 2θ 32.51, I 39; 2θ 36.81, I 45; 2θ 39.16, I 52

=====

No. 9
IrICl3: theoretical powder diffractogram (Cu Ka), based on DFT lattice parameters and positions (PBE).

Structure:
a = 8.3634 Å, b = 8.3634 Å, c = 6.1107 Å
α = 104.22°, β = 104.22°, γ = 126.49°
Element x y z (fractional)
Ir  0.0633  0.9367  0.5000
Ir  0.9367  0.0633  0.0000
I  0.5757  0.9497  0.0074
I  0.9497  0.5757  0.5074
Cl  0.0566  0.3936  0.0041
Cl  0.1536  0.2623  0.4614
Cl  0.2623  0.1536  0.9614
Cl  0.3936  0.0566  0.5041
Cl  0.7443  0.8516  0.5386
Cl  0.8516  0.7443  0.0386

Top 8 peaks for 2θ from 15° to 90°, in order of rising 2θ:
2θ 15.24, I 100; 2θ 16.33, I 28; 2θ 21.04, I 51; 2θ 23.51, I 28; 2θ 33.87, I 59; 2θ 35.05, I 27; 2θ 47.95, I 20; 2θ 51.08, I 18

=====

No. 10
Cs3HfTe6: theoretical powder diffractogram (Cu Ka), based on DFT lattice parameters and positions (PBE).

Structure:
a = 9.1863 Å, b = 9.1863 Å, c = 9.1863 Å
α = 113.31°, β = 113.31°, γ = 113.31°
Element x y z (fractional)
Cs  0.0073  0.4963  0.4963
Cs  0.4963  0.0073  0.4963
Cs  0.4963  0.4963  0.0073
Hf  0.3719  0.3719  0.3719
Te  0.1301  0.1301  0.4194
Te  0.1301  0.4194  0.1301
Te  0.4194  0.1301  0.1301
Te  0.6024  0.7910  0.7910
Te  0.7910  0.6024  0.7910
Te  0.7910  0.7910  0.6024

Top 8 peaks for 2θ from 15° to 90°, in order of rising 2θ:
2θ 23.18, I 29; 2θ 25.41, I 63; 2θ 27.12, I 100; 2θ 29.56, I 56; 2θ 35.97, I 22; 2θ 36.64, I 26; 2θ 42.51, I 28; 2θ 47.39, I 22

=====

No. 11
Pm3Pr4Er8: theoretical powder diffractogram (Cu Ka), based on DFT lattice parameters and positions (PBE).

Structure:
a = 9.3265 Å, b = 9.3265 Å, c = 6.7836 Å
α = 111.27°, β = 111.27°, γ = 87.47°
Element x y z (fractional)
Pm  0.0000  0.0000  0.0000
Pm  0.0000  0.5000  0.5000
Pm  0.5000  0.0000  0.5000
Pr  0.0000  0.5000  0.0000
Pr  0.5000  0.0000  0.0000
Pr  0.5000  0.5000  0.0000
Pr  0.5000  0.5000  0.5000
Er  0.1385  0.8615  0.5000
Er  0.2304  0.2304  0.9683
Er  0.2309  0.2309  0.4907
Er  0.2429  0.7571  0.0000
Er  0.7571  0.2429  0.0000
Er  0.7691  0.7691  0.5093
Er  0.7696  0.7696  0.0317
Er  0.8615  0.1385  0.5000

Top 8 peaks for 2θ from 15° to 90°, in order of rising 2θ:
2θ 27.67, I 34; 2θ 30.49, I 100; 2θ 30.68, I 47; 2θ 31.69, I 31; 2θ 41.64, I 44; 2θ 41.78, I 21; 2θ 54.43, I 17; 2θ 66.16, I 20

=====

No. 12
Cd3Si: theoretical powder diffractogram (Cu Ka), based on DFT lattice parameters and positions (PBE).

Structure:
a = 2.9179 Å, b = 2.9179 Å, c = 11.7669 Å
α = 90.00°, β = 90.00°, γ = 120.00°
Element x y z (fractional)
Cd  0.0000  0.0000  0.0000
Cd  0.3333  0.6667  0.2655
Cd  0.3333  0.6667  0.7345
Si  0.0000  0.0000  0.5000

Top 8 peaks for 2θ from 15° to 90°, in order of rising 2θ:
2θ 22.67, I 15; 2θ 30.39, I 40; 2θ 35.52, I 25; 2θ 38.78, I 100; 2θ 47.43, I 19; 2θ 59.68, I 22; 2θ 63.79, I 15; 2θ 72.29, I 18